Simulated X-ray diffraction stick pattern
Compound: B3C7
Radiation: Cu Kα (weighted mean of Kα1 and Kα2)
Structure: a DFT-relaxed cell (PBE, Alexandria)
Lines closer than 0.1° are merged.

The 8 most intense peaks (15 to 90 degrees two-theta), low angle first:
2theta	d (Å)	I_rel
31.5	2.837	8
42.1	2.146	100
42.5	2.126	90
72.1	1.311	61
73.1	1.294	12
87.0	1.120	9
87.4	1.116	14
88.2	1.108	16

Crystal structure
```
B3C7
1.0
-1.2940 6.5587 1.8642
1.2940 -6.5587 1.8642
1.2940 6.5587 -1.8642
B C
3 7
Direct
0.0000 0.0000 0.0000
0.5699 0.2728 0.2972
0.9756 0.2728 0.7028
0.1726 0.2767 0.8960
0.2217 0.0270 0.1947
0.3807 0.2767 0.1040
0.4026 0.9963 0.4062
0.5901 0.9963 0.5938
0.7388 0.2388 0.5000
0.8324 0.0270 0.8053
```